Record 1
Computed XRD peak list
Compound: NaLi3Ti2Cr2P6O24
Radiation: a wavelength of 1.5418 Å
Structure: a structure optimized by DFT (PBE+U)
Lines closer than 0.1° are merged.

Top 12 peaks for 10° ≤ 2θ ≤ 90°, by angle:
two_theta	intensity
14.46	35.4
20.03	43.4
20.96	24.1
24.19	100.0
29.15	36.9
32.08	54.6
32.52	16.2
36.73	16.7
38.75	10.3
49.55	16.0
52.74	12.1
57.54	13.4

Structure:
```
38
Lattice="4.238 2.447 7.415 -4.238 2.447 7.415 0.000 -4.894 7.415" Properties=species:S:1:pos:R:3 pbc="T T T"
Na 0.000 0.000 0.000
Li -2.674 -0.306 13.471
Li 1.602 -2.163 13.471
Li 1.073 2.469 13.471
Ti 0.000 0.000 3.080
Ti 0.000 0.000 7.845
Cr 0.000 0.000 14.323
Cr 0.000 0.000 18.877
P -3.055 -0.323 9.126
P -1.239 -2.822 12.873
P 1.807 -2.484 9.126
P -1.825 2.484 12.873
P 1.247 2.807 9.126
P 3.064 0.338 12.873
O -3.348 1.193 9.254
O -2.676 -2.218 12.800
O -0.177 -1.634 6.559
O -1.536 -0.504 8.814
O -0.820 -3.494 11.550
O -1.326 0.970 6.559
O 0.641 -3.496 9.254
O -2.616 2.457 11.550
O -0.242 -1.684 13.168
O -1.636 -0.531 15.298
O 1.204 -1.078 8.814
O -1.337 1.051 13.168
O 1.503 0.664 6.559
O 0.332 1.582 8.814
O -1.643 0.047 17.828
O -0.583 3.427 12.800
O 1.278 -1.151 15.298
O 0.780 -1.446 17.828
O 1.579 0.633 13.168
O 0.358 1.682 15.298
O 3.259 -1.209 12.800
O 2.707 2.303 9.254
O 3.436 1.037 11.550
O 0.863 1.399 17.828
```

---

Record 2
Computed XRD peak list
Compound: CsV2CrO7
Radiation: a wavelength of 1.5418 Å
Structure: a structure optimized by DFT (PBE+U)
Lines closer than 0.1° are merged.

Top 12 peaks for 10° ≤ 2θ ≤ 90°, by angle:
two_theta	intensity
19.99	43.4
20.40	45.7
21.97	26.5
26.86	98.7
29.27	89.2
30.18	26.6
31.74	100.0
35.79	31.9
40.28	40.4
44.66	44.3
56.40	27.3
64.13	29.2

Structure:
```
22
Lattice="9.009 0.000 0.000 0.000 4.994 0.000 -1.165 0.000 6.905" Properties=species:S:1:pos:R:3 pbc="T T T"
Cs -0.291 0.571 1.726
Cs -0.874 4.423 5.179
V 2.949 2.470 0.881
V 2.367 2.524 4.333
V 5.477 2.470 2.572
V 4.894 2.524 6.024
Cr 4.504 0.000 0.000
Cr 3.922 0.000 3.452
O 0.841 1.913 4.334
O 1.423 3.081 0.881
O 2.746 0.884 0.212
O 2.163 4.110 3.664
O 3.141 1.712 2.701
O 2.558 3.282 6.153
O 3.630 1.069 5.179
O 4.213 3.925 1.726
O 5.285 1.712 0.752
O 4.702 3.282 4.204
O 5.680 0.884 3.241
O 5.098 4.110 6.693
O 6.420 1.913 6.024
O 7.003 3.081 2.571
```